LiAg2F6: simulated PXRD pattern (Cu Kα (weighted mean of Kα1 and Kα2)), based on a cell relaxed with PBE.
Intensities are scaled so that the largest is 100.

Peak list (12 most intense, 5° ≤ 2θ ≤ 70°, by intensity)
hkl	2theta	I (rel.)
1 1 3	28.39	100
1 1 -3	26.51	95
1 1 -1	22.01	82
0 1 1	17.01	71
1 0 2	19.16	44
0 2 6	47.50	41
0 2 0	32.41	34
1 0 -4	25.34	34
2 1 -1	33.42	28
2 0 -4	35.03	23
0 0 2	11.08	18
1 2 5	46.93	18

Structural model:
Cell lengths 6.1597, 5.5162, 16.0511 Å; angles 90.00, 95.96, 90.00 degrees
Space group P2_1/c (No. 14)
Inequivalent atoms, fractional coordinates:
1 Li 0.1096 0.0912 0.4296 x4
2 Ag 0.2142 0.5216 0.2573 x4
3 Ag 0.3332 0.5670 0.5778 x4
4 F 0.0074 0.1264 0.6662 x4
5 F 0.0408 0.1421 0.8405 x4
6 F 0.1315 0.6985 0.0086 x4
7 F 0.3291 0.1985 0.9892 x4
8 F 0.3946 0.6746 0.1715 x4
9 F 0.4500 0.6467 0.3466 x4